Diffraction record for Ca2Pm3Mg3. The powder XRD pattern is computed, not measured: it uses a cell relaxed with GGA-PBE and λ = 1.5418 Å (Cu Kα).

Most intense lines, 10 to 90 degrees two-theta, sorted by position:
| d_spacing | 2θ/deg | I_rel |
| --- | --- | --- |
| 4.539 | 19.56 | 28 |
| 3.845 | 23.13 | 31 |
| 3.566 | 24.97 | 36 |
| 2.882 | 31.04 | 24 |
| 2.813 | 31.81 | 26 |
| 2.801 | 31.95 | 100 |
| 2.013 | 45.04 | 17 |
| 1.622 | 56.76 | 19 |

Structural model:
Unit cell a=12.024 b=12.024 c=12.024 alpha=161.33 beta=152.94 gamma=33.08
Atoms (fractional coordinates):
Ca (0.235, 0.235, 0.000)
Ca (0.765, 0.765, 0.000)
Pm (0.000, 0.000, 0.000)
Pm (0.382, 0.882, 0.500)
Pm (0.618, 0.118, 0.500)
Mg (0.116, 0.616, 0.500)
Mg (0.500, 0.500, 0.000)
Mg (0.884, 0.384, 0.500)